Nb2Cr4Si5: calculated powder X-ray diffraction pattern (copper Kα), based on DFT lattice parameters and positions (GGA-PBE).

Crystal structure
Cell: 7.465 16.326 5.133 Å, 90.00 90.00 90.00°
Space group Ibam (No. 72)
Unique sites:
Nb1 0.000 0.191 0.250 (multiplicity 8)
Cr1 0.121 0.358 0.000 (multiplicity 8)
Cr2 0.249 0.439 0.500 (multiplicity 8)
Si1 0.000 0.500 0.250 (multiplicity 4)
Si2 0.088 0.060 0.500 (multiplicity 8)
Si3 0.191 0.297 0.500 (multiplicity 8)

Principal peaks in the range 2θ = 10–90°, low angle first:
| 2θ/deg | I (rel.) | (hkl) |
| --- | --- | --- |
| 26.26 | 26 | 2 2 0 |
| 39.38 | 26 | 1 6 1 |
| 39.84 | 42 | 3 3 0 |
| 40.71 | 100 | 1 3 2 |
| 41.84 | 33 | 3 2 1 |
| 42.76 | 42 | 2 0 2 |

---

CuH12Br4N2O2: calculated powder X-ray diffraction pattern (copper Kα), based on DFT lattice parameters and positions (GGA-PBE).

Crystal structure
Cell: 8.110 8.110 8.296 Å, 90.00 90.00 90.00°
Space group P4_2/mnm (No. 136)
Unique sites:
Cu1 0.000 0.000 0.000 (multiplicity 2)
H1 0.070 0.070 0.306 (multiplicity 8)
H2 0.071 0.423 0.322 (multiplicity 16)
Br1 0.212 0.212 0.000 (multiplicity 4)
Br2 0.215 0.215 0.500 (multiplicity 4)
N1 0.000 0.500 0.250 (multiplicity 4)
O1 0.000 0.000 0.237 (multiplicity 4)

Principal peaks in the range 2θ = 10–90°, low angle first:
| 2θ/deg | I (rel.) | (hkl) |
| --- | --- | --- |
| 21.42 | 73 | 0 0 2 |
| 24.54 | 44 | 2 1 0 |
| 30.84 | 100 | 2 0 2 |
| 31.19 | 90 | 2 2 0 |
| 32.80 | 38 | 2 1 2 |
| 38.16 | 47 | 2 2 2 |